(1)
The following is a calculated X-ray diffraction stick pattern of Cd6Sb2Se. It was derived from DFT lattice parameters and positions (PBE), using Cu Ka.
Peak positions follow from Bragg's law for the DFT cell and can differ from measured ones.

Peak list (10 most intense, 5° ≤ 2θ ≤ 70°, in order of rising 2θ)
- hkl 1 1 -1, 19.24 deg, I = 19
- hkl 1 1 1, 24.58 deg, I = 47
- hkl 2 1 -2, 28.45 deg, I = 37
- hkl 2 1 -1, 29.46 deg, I = 37
- hkl 1 1 2, 30.01 deg, I = 100
- hkl 2 2 -2, 39.05 deg, I = 49
- hkl 1 2 -4, 40.26 deg, I = 38
- hkl 3 0 0, 43.33 deg, I = 50
- hkl 1 2 -5, 45.39 deg, I = 18
- hkl 0 3 1, 46.92 deg, I = 18

Atomic structure:
```
data_Cd6Sb2Se
_chemical_formula_sum 'Cd12 Sb4 Se2'
_space_group_name_H-M_alt 'P 1 21/c 1'
_space_group_IT_number 14
_space_group_name_Hall '-P 2ybc'
_cell_length_a 7.419
_cell_length_b 5.890
_cell_length_c 13.839
_cell_angle_alpha 90.00
_cell_angle_beta 122.32
_cell_angle_gamma 90.00
loop_
_atom_site_label
_atom_site_fract_x
_atom_site_fract_y
_atom_site_fract_z
Cd1 0.082 0.186 0.368
Cd2 0.320 0.720 0.998
Cd3 0.344 0.184 0.629
Sb1 0.312 0.002 0.811
Se1 0.000 0.000 0.000
```

***

(2)
The following is a calculated X-ray diffraction stick pattern of Tb4TlAu3. It was derived from DFT lattice parameters and positions (PBE), using Cu Ka.
Peak positions follow from Bragg's law for the DFT cell and can differ from measured ones.

Peak list (10 most intense, 5° ≤ 2θ ≤ 70°, in order of rising 2θ)
- hkl 1 1 1, 31.25 deg, I = 100
- hkl 0 0 4, 31.73 deg, I = 31
- hkl 0 1 4, 37.03 deg, I = 32
- hkl 0 2 0, 37.68 deg, I = 38
- hkl 1 1 3, 38.73 deg, I = 80
- hkl 2 0 0, 48.28 deg, I = 19
- hkl 0 2 4, 50.07 deg, I = 17
- hkl 2 1 4, 62.37 deg, I = 14
- hkl 2 2 0, 62.81 deg, I = 17
- hkl 1 3 3, 68.72 deg, I = 15

Atomic structure:
```
data_Tb4TlAu3
_chemical_formula_sum 'Tb4 Tl1 Au3'
_space_group_name_H-M_alt 'P m m 2'
_space_group_IT_number 25
_space_group_name_Hall 'P 2 -2'
_cell_length_a 3.770
_cell_length_b 4.774
_cell_length_c 11.279
_cell_angle_alpha 90.00
_cell_angle_beta 90.00
_cell_angle_gamma 90.00
loop_
_atom_site_label
_atom_site_fract_x
_atom_site_fract_y
_atom_site_fract_z
Tb1 0.000 0.000 0.000
Tb2 0.000 0.500 0.266
Tb3 0.500 0.000 0.478
Tb4 0.500 0.500 0.779
Tl1 0.000 0.000 0.714
Au1 0.000 0.500 0.536
Au2 0.500 0.000 0.215
Au3 0.500 0.500 0.045
```